Simulated PXRD pattern of RbCr2F6 for Cu Kα (weighted mean of Kα1 and Kα2), from a structure optimized by DFT (GGA+U).
Peak positions follow from Bragg's law for the DFT cell and can differ from measured ones.

Atomic structure:
a b c (Å): 5.5248 5.5248 6.0149
angles (deg): 90.00 90.00 120.00
Space group P-31m (No. 162)
Symmetry-distinct sites (fractional):
Rb 0.0000 0.0000 0.0000 x1
Cr 0.3333 0.6667 0.5000 x2
F 0.0000 0.3783 0.6796 x6

Peak list (12 most intense, 2θ from 15° to 90°, sorted by position)
2θ = 23.76°, rel. 100
2θ = 32.41°, rel. 19
2θ = 35.77°, rel. 11
2θ = 40.58°, rel. 16
2θ = 44.54°, rel. 45
2θ = 49.28°, rel. 9
2θ = 52.87°, rel. 20
2θ = 57.81°, rel. 13
2θ = 60.22°, rel. 10
2θ = 70.07°, rel. 8
2θ = 71.42°, rel. 8
2θ = 73.01°, rel. 9